Tb3Tl5: simulated powder diffractogram (a wavelength of 1.5418 Å), based on the GGA-PBE geometry in Alexandria.

Structure:
Cell: 6.500 6.500 10.586 Å, 90.00 90.00 77.82°
Atoms (fractional coordinates):
Tb  0.109  0.891  0.750
Tb  0.294  0.294  0.000
Tb  0.294  0.294  0.500
Tb  0.706  0.706  0.000
Tb  0.706  0.706  0.500
Tb  0.891  0.109  0.250
Tl  0.012  0.432  0.750
Tl  0.198  0.802  0.037
Tl  0.198  0.802  0.463
Tl  0.432  0.012  0.250
Tl  0.498  0.502  0.250
Tl  0.502  0.498  0.750
Tl  0.568  0.988  0.750
Tl  0.802  0.198  0.537
Tl  0.802  0.198  0.963
Tl  0.988  0.568  0.250

Peak list (10 most intense, 10 to 80 degrees two-theta, low angle first)
32.9°, I = 100
33.4°, I = 18
33.9°, I = 32
34.1°, I = 20
35.5°, I = 24
38.1°, I = 13
38.5°, I = 15
49.9°, I = 14
60.0°, I = 17
66.0°, I = 14


Tb2Nd4Y2Tm: simulated powder diffractogram (a wavelength of 1.5418 Å), based on the GGA-PBE geometry in Alexandria.

Structure:
Cell: 8.070 8.070 8.067 Å, 107.54 107.54 36.91°
Atoms (fractional coordinates):
Tb  0.166  0.166  0.000
Tb  0.834  0.834  0.000
Nd  0.055  0.055  0.330
Nd  0.278  0.278  0.669
Nd  0.722  0.722  0.331
Nd  0.945  0.945  0.670
Y  0.388  0.388  0.330
Y  0.612  0.612  0.670
Tm  0.500  0.500  0.000

Peak list (10 most intense, 10 to 80 degrees two-theta, low angle first)
11.6°, I = 2
13.9°, I = 1
30.3°, I = 100
35.2°, I = 51
50.6°, I = 36
60.1°, I = 36
60.2°, I = 7
63.1°, I = 12
74.2°, I = 2
74.4°, I = 4


SrCaYRuO6: simulated powder diffractogram (a wavelength of 1.5418 Å), based on the GGA-PBE geometry in Alexandria.

Structure:
Cell: 5.709 5.866 9.904 Å, 90.00 124.61 90.00°
Atoms (fractional coordinates):
Sr  0.000  0.208  0.000
Sr  0.000  0.792  0.500
Ca  0.472  0.305  0.501
Ca  0.472  0.695  0.001
Y  0.739  0.247  0.251
Y  0.739  0.753  0.751
Ru  0.239  0.251  0.749
Ru  0.239  0.749  0.249
O  0.014  0.452  0.796
O  0.014  0.548  0.296
O  0.115  0.033  0.305
O  0.115  0.967  0.805
O  0.383  0.479  0.197
O  0.383  0.521  0.697
O  0.470  0.065  0.698
O  0.470  0.935  0.198
O  0.556  0.289  0.983
O  0.556  0.711  0.483
O  0.899  0.223  0.517
O  0.899  0.777  0.017

Peak list (10 most intense, 10 to 80 degrees two-theta, low angle first)
21.7°, I = 37
30.5°, I = 47
30.9°, I = 100
31.1°, I = 99
31.3°, I = 45
44.3°, I = 54
44.5°, I = 29
54.9°, I = 22
55.3°, I = 22
55.7°, I = 34


LiCe2P2N6: simulated powder diffractogram (a wavelength of 1.5418 Å), based on the GGA-PBE geometry in Alexandria.

Structure:
Cell: 6.427 6.427 6.427 Å, 50.30 50.30 50.30°
Atoms (fractional coordinates):
Li  0.000  0.000  0.000
Ce  0.205  0.205  0.205
Ce  0.795  0.795  0.795
P  0.422  0.422  0.422
P  0.578  0.578  0.578
N  0.243  0.742  0.742
N  0.258  0.258  0.757
N  0.258  0.757  0.258
N  0.742  0.243  0.742
N  0.742  0.742  0.243
N  0.757  0.258  0.258

Peak list (10 most intense, 10 to 80 degrees two-theta, low angle first)
15.8°, I = 47
21.6°, I = 37
32.7°, I = 100
36.6°, I = 30
39.6°, I = 22
42.2°, I = 8
47.0°, I = 21
47.4°, I = 9
58.5°, I = 28
68.7°, I = 9


YUO4: simulated powder diffractogram (a wavelength of 1.5418 Å), based on the GGA-PBE geometry in Alexandria.

Structure:
Cell: 3.786 3.786 5.382 Å, 90.00 90.00 90.00°
Atoms (fractional coordinates):
Y  0.000  0.000  0.000
U  0.500  0.500  0.500
O  0.000  0.500  0.262
O  0.000  0.500  0.738
O  0.500  0.000  0.262
O  0.500  0.000  0.738

Peak list (10 most intense, 10 to 80 degrees two-theta, low angle first)
16.5°, I = 17
23.5°, I = 14
28.8°, I = 100
33.3°, I = 11
33.5°, I = 21
47.9°, I = 35
48.1°, I = 17
56.8°, I = 15
57.0°, I = 30
77.5°, I = 13


Ce2RuPb2: simulated powder diffractogram (a wavelength of 1.5418 Å), based on the GGA-PBE geometry in Alexandria.

Structure:
Cell: 9.133 9.133 6.020 Å, 90.00 90.00 146.69°
Atoms (fractional coordinates):
Ce  0.104  0.896  0.500
Ce  0.334  0.666  0.439
Ce  0.666  0.334  0.939
Ce  0.896  0.104  0.000
Ru  0.089  0.911  0.879
Ru  0.911  0.089  0.379
Pb  0.264  0.736  0.945
Pb  0.487  0.513  0.746
Pb  0.513  0.487  0.246
Pb  0.736  0.264  0.445

Peak list (10 most intense, 10 to 80 degrees two-theta, low angle first)
27.3°, I = 35
29.7°, I = 16
30.7°, I = 70
31.4°, I = 30
34.2°, I = 100
34.8°, I = 20
37.8°, I = 24
43.2°, I = 17
47.2°, I = 20
54.6°, I = 12